Record 1
# K3Zn2Cl7
Calculated PXRD pattern, copper Kα. Input: a crystal structure in the Materials Project, relaxed with GGA-PBE.
Neutral-atom scattering factors, no anomalous dispersion.

Largest 10 diffraction maxima, by angle, 2θ = 15–90°:
2theta	I_rel
18.79	578
19.09	447
19.47	458
25.23	1000
25.68	521
27.40	455
35.55	910
35.82	460
36.08	543
50.11	441

Structural model:
```
K3Zn2Cl7
1.0
7.0630 0.0000 0.0000
-0.1158 10.9381 0.0000
-3.3267 -5.3087 9.0950
K Zn Cl
6 4 14
Direct
0.0924 0.3123 0.2213
0.1311 0.9105 0.2858
0.3882 0.4081 0.7831
0.6118 0.5919 0.2169
0.8689 0.0895 0.7142
0.9076 0.6877 0.7787
0.3587 0.7711 0.5648
0.4957 0.1627 0.9935
0.5043 0.8373 0.0065
0.6413 0.2289 0.4352
0.1351 0.6402 0.3277
0.2524 0.3055 0.9834
0.2740 0.0035 0.0108
0.2777 0.6969 0.0287
0.3071 0.9999 0.6566
0.3213 0.2308 0.4494
0.3313 0.6701 0.7011
0.6687 0.3299 0.2989
0.6787 0.7692 0.5506
0.6929 0.0001 0.3434
0.7223 0.3031 0.9713
0.7260 0.9965 0.9892
0.7476 0.6945 0.0166
0.8649 0.3598 0.6723
```



Record 2
# NbGaP2SO12
Calculated PXRD pattern, copper Kα. Input: a crystal structure in the Materials Project, relaxed with GGA-PBE.
Neutral-atom scattering factors, no anomalous dispersion.

Largest 10 diffraction maxima, by angle, 2θ = 15–90°:
2theta	I_rel
19.84	1000
20.53	601
23.76	591
23.85	351
28.60	239
28.75	453
31.70	350
31.78	267
35.51	161
36.01	171

Structural model:
```
NbGaP2SO12
1.0
7.5153 -4.3134 0.0000
7.5153 4.3134 0.0000
-4.9878 0.0000 7.4403
Nb Ga P S O
2 2 4 2 24
Direct
0.2407 0.7593 0.5000
0.7593 0.2407 0.0000
0.0400 0.5346 0.8591
0.5346 0.0400 0.3591
0.1536 0.3528 0.1696
0.3528 0.1536 0.6696
0.8484 0.9180 0.1687
0.9180 0.8484 0.6687
0.4262 0.6503 0.1711
0.6503 0.4262 0.6711
0.0291 0.8962 0.3383
0.0998 0.8280 0.6477
0.1241 0.3820 0.0029
0.1719 0.5312 0.3377
0.1785 0.3194 0.7025
0.2660 0.6246 0.0097
0.3194 0.1785 0.2025
0.3316 0.9704 0.6423
0.3820 0.1241 0.5029
0.4046 0.6654 0.3326
0.4587 0.8114 0.1952
0.4779 0.6003 0.6479
0.5312 0.1719 0.8377
0.6003 0.4779 0.1479
0.6246 0.2660 0.5097
0.6654 0.4046 0.8326
0.6765 0.9604 0.2047
0.7538 0.8825 0.5031
0.8114 0.4587 0.6952
0.8280 0.0998 0.1477
0.8825 0.7538 0.0031
0.8962 0.0291 0.8383
0.9604 0.6765 0.7047
0.9704 0.3316 0.1423
```



Record 3
# CeSn4Pd2
Calculated PXRD pattern, copper Kα. Input: a crystal structure in the Materials Project, relaxed with GGA-PBE.
Neutral-atom scattering factors, no anomalous dispersion.

Largest 10 diffraction maxima, by angle, 2θ = 15–90°:
2theta	I_rel
29.19	198
30.01	192
33.47	250
33.67	1000
36.37	377
40.89	409
43.16	112
45.71	174
54.68	286
60.53	110

Structural model:
```
CeSn4Pd2
1.0
8.3410 -3.1876 0.0000
8.3410 3.1876 0.0000
0.0000 0.0000 6.1187
Ce Sn Pd
2 8 4
Direct
0.2276 0.7724 0.7500
0.7724 0.2276 0.2500
0.1491 0.4492 0.7500
0.1966 0.6315 0.2500
0.3685 0.8034 0.2500
0.4492 0.1491 0.2500
0.5508 0.8509 0.7500
0.6315 0.1966 0.7500
0.8034 0.3685 0.7500
0.8509 0.5508 0.2500
0.1696 0.1696 0.0000
0.1696 0.1696 0.5000
0.8304 0.8304 0.0000
0.8304 0.8304 0.5000
```



Record 4
# Hf2Ga3Ni
Calculated PXRD pattern, copper Kα. Input: a crystal structure in the Materials Project, relaxed with GGA-PBE.
Neutral-atom scattering factors, no anomalous dispersion.

Largest 10 diffraction maxima, by angle, 2θ = 15–90°:
2theta	I_rel
24.59	321
35.29	164
35.50	248
36.84	254
37.26	1000
37.47	596
42.72	582
43.57	399
57.23	181
74.59	200

Structural model:
```
Hf2Ga3Ni
1.0
4.8717 -2.0774 0.0000
4.8717 2.0774 0.0000
-4.2074 0.0000 4.8795
Hf Ga Ni
2 3 1
Direct
0.0000 0.0000 0.0000
0.0820 0.0820 0.5791
0.3663 0.3663 0.1604
0.3978 0.3978 0.6252
0.7044 0.7044 0.4022
0.7117 0.7117 0.0182
```



Record 5
# SmS2
Calculated PXRD pattern, copper Kα. Input: a crystal structure in the Materials Project, relaxed with GGA-PBE.
Neutral-atom scattering factors, no anomalous dispersion.

Largest 10 diffraction maxima, by angle, 2θ = 15–90°:
2theta	I_rel
21.88	290
25.17	1000
32.21	400
34.10	188
39.28	662
40.45	450
46.19	296
53.33	270
63.05	240
80.88	160

Structural model:
```
SmS2
1.0
3.9303 0.0000 0.0000
0.0000 3.9303 0.0000
0.0000 0.0000 8.1241
Sm S
2 4
Direct
0.2500 0.2500 0.2256
0.7500 0.7500 0.7744
0.2500 0.2500 0.8669
0.2500 0.7500 0.5000
0.7500 0.2500 0.5000
0.7500 0.7500 0.1331
```



Record 6
# Ge
Calculated PXRD pattern, copper Kα. Input: a crystal structure in the Materials Project, relaxed with GGA-PBE.
Neutral-atom scattering factors, no anomalous dispersion.

Largest 10 diffraction maxima, by angle, 2θ = 15–90°:
2theta	I_rel
33.46	331
35.45	539
36.09	1000
36.67	986
37.18	566
39.31	424
40.71	491
43.02	482
73.72	275
74.99	321

Structural model:
```
Ge
1.0
4.4332 -3.0076 0.0000
4.4332 3.0076 0.0000
0.0000 0.0000 5.8820
Ge
8
Direct
0.1688 0.8312 0.8291
0.2180 0.2180 0.5000
0.2820 0.2820 0.0000
0.3312 0.6688 0.3291
0.6688 0.3312 0.6709
0.7180 0.7180 0.0000
0.7820 0.7820 0.5000
0.8312 0.1688 0.1709
```



Record 7
# TiAu
Calculated PXRD pattern, copper Kα. Input: a crystal structure in the Materials Project, relaxed with GGA-PBE.
Neutral-atom scattering factors, no anomalous dispersion.

Largest 10 diffraction maxima, by angle, 2θ = 15–90°:
2theta	I_rel
19.49	431
34.68	469
39.58	204
40.09	1000
53.63	278
62.17	161
65.82	113
72.15	178
76.25	179
76.59	151

Structural model:
```
TiAu
1.0
2.9865 0.0000 0.0000
-1.4932 2.5864 0.0000
0.0000 0.0000 4.5540
Ti Au
1 1
Direct
0.0000 0.0000 0.0000
0.3333 0.6667 0.5000
```



Record 8
# TbSmO3
Calculated PXRD pattern, copper Kα. Input: a crystal structure in the Materials Project, relaxed with GGA-PBE.
Neutral-atom scattering factors, no anomalous dispersion.

Largest 10 diffraction maxima, by angle, 2θ = 15–90°:
2theta	I_rel
29.39	223
29.87	1000
30.68	221
42.50	116
43.00	190
52.46	270
53.32	114
54.03	229
62.05	129
70.02	94

Structural model:
```
TbSmO3
1.0
6.0781 0.0000 0.0000
0.0000 8.5078 0.0000
0.0000 0.0000 5.8291
Tb Sm O
4 4 12
Direct
0.0000 0.0000 0.0000
0.0000 0.5000 0.0000
0.5000 0.0000 0.5000
0.5000 0.5000 0.5000
0.0495 0.2500 0.4877
0.4505 0.7500 0.9877
0.5495 0.2500 0.0123
0.9505 0.7500 0.5123
0.0791 0.7500 0.1439
0.1840 0.5736 0.6807
0.1840 0.9264 0.6807
0.3160 0.0736 0.1807
0.3160 0.4264 0.1807
0.4209 0.2500 0.6439
0.5791 0.7500 0.3561
0.6840 0.5736 0.8193
0.6840 0.9264 0.8193
0.8160 0.0736 0.3193
0.8160 0.4264 0.3193
0.9209 0.2500 0.8561
```



Record 9
# SmY3
Calculated PXRD pattern, copper Kα. Input: a crystal structure in the Materials Project, relaxed with GGA-PBE.
Neutral-atom scattering factors, no anomalous dispersion.

Largest 10 diffraction maxima, by angle, 2θ = 15–90°:
2theta	I_rel
17.42	52
24.73	47
30.41	1000
35.26	502
50.72	351
60.29	412
63.27	118
74.56	54
82.61	166
85.25	154

Structural model:
```
SmY3
1.0
5.0912 0.0000 0.0000
0.0000 5.0912 0.0000
0.0000 0.0000 5.0912
Sm Y
1 3
Direct
0.0000 0.0000 0.0000
0.0000 0.5000 0.5000
0.5000 0.0000 0.5000
0.5000 0.5000 0.0000
```



Record 10
# BaHg6
Calculated PXRD pattern, copper Kα. Input: a crystal structure in the Materials Project, relaxed with GGA-PBE.
Neutral-atom scattering factors, no anomalous dispersion.

Largest 10 diffraction maxima, by angle, 2θ = 15–90°:
2theta	I_rel
30.11	1000
30.72	403
31.73	631
31.97	146
32.71	162
36.88	168
39.86	186
40.00	276
55.46	111
55.53	115

Structural model:
```
BaHg6
1.0
13.9823 0.0000 0.0000
0.0000 5.6408 0.0000
0.0000 0.0000 10.5057
Ba Hg
4 24
Direct
0.1815 0.2500 0.1444
0.3185 0.7500 0.6444
0.6815 0.2500 0.3556
0.8185 0.7500 0.8556
0.0038 0.7500 0.1121
0.0410 0.7500 0.6500
0.0966 0.7500 0.3688
0.1451 0.7500 0.9016
0.1478 0.2500 0.5097
0.1955 0.2500 0.7876
0.3045 0.7500 0.2876
0.3522 0.7500 0.0097
0.3549 0.2500 0.4016
0.4034 0.2500 0.8688
0.4590 0.2500 0.1500
0.4962 0.2500 0.6121
0.5038 0.7500 0.3879
0.5410 0.7500 0.8500
0.5966 0.7500 0.1312
0.6451 0.7500 0.5984
0.6478 0.2500 0.9903
0.6955 0.2500 0.7124
0.8045 0.7500 0.2124
0.8522 0.7500 0.4903
0.8549 0.2500 0.0984
0.9034 0.2500 0.6312
0.9590 0.2500 0.3500
0.9962 0.2500 0.8879
```



Record 11
# Ho2ZnRh
Calculated PXRD pattern, copper Kα. Input: a crystal structure in the Materials Project, relaxed with GGA-PBE.
Neutral-atom scattering factors, no anomalous dispersion.

Largest 10 diffraction maxima, by angle, 2θ = 15–90°:
2theta	I_rel
22.16	12
25.64	106
36.58	1000
45.21	33
52.69	175
59.50	45
65.85	354
77.75	110
83.48	23
89.13	160

Structural model:
```
Ho2ZnRh
1.0
0.0000 3.4741 3.4741
3.4741 0.0000 3.4741
3.4741 3.4741 0.0000
Ho Zn Rh
2 1 1
Direct
0.2500 0.2500 0.2500
0.7500 0.7500 0.7500
0.0000 0.0000 0.0000
0.5000 0.5000 0.5000
```



> Number 6 is which compound?

Ge